# 1
The following is a theoretical XRD peak list of La5Pm2Nd5. It was derived from a structure optimized by DFT (GGA-PBE), using Cu Kα.
Lines closer than 0.1° are merged.

Structural model:
a b c (Å): 15.7322 5.2436 11.6801
angles (deg): 90.00 116.63 90.00
Space group C2/m (No. 12)
Inequivalent atoms, fractional coordinates:
La (0.0000, 0.0000, 0.0000) [2 per cell]
La (0.0825, 0.0000, 0.7491) [4 per cell]
La (0.2493, 0.0000, 0.2511) [4 per cell]
Pm (0.1668, 0.0000, 0.5000) [4 per cell]
Nd (0.0000, 0.5000, 0.5000) [2 per cell]
Nd (0.0845, 0.5000, 0.2524) [4 per cell]
Nd (0.1670, 0.5000, 0.9998) [4 per cell]

Most intense lines, 2θ from 10° to 80°, sorted by position:
2θ = 29.5°, I 100, hkl 3 1 1
2θ = 34.2°, I 34, hkl 0 2 0
2θ = 34.4°, I 17, hkl 0 0 4
2θ = 49.2°, I 18, hkl 6 0 2
2θ = 49.3°, I 18, hkl 0 2 4
2θ = 58.4°, I 29, hkl 3 3 1
2θ = 58.6°, I 14, hkl 3 1 5
2θ = 61.3°, I 13, hkl 6 2 2
2θ = 72.0°, I 4, hkl 0 4 0
2θ = 72.4°, I 2, hkl 0 0 8
2θ = 79.7°, I 6, hkl 9 3 -1
2θ = 79.9°, I 12, hkl 9 1 3

---

# 2
The following is a theoretical XRD peak list of AcPm3Nd4. It was derived from a structure optimized by DFT (GGA-PBE), using Cu Kα.
Lines closer than 0.1° are merged.

Structural model:
a b c (Å): 10.4661 7.4217 7.4141
angles (deg): 90.00 90.00 90.00
Space group Pmna (No. 53)
Inequivalent atoms, fractional coordinates:
Ac (0.0000, 0.0000, 0.0000) [2 per cell]
Pm (0.0000, 0.5000, 0.5000) [2 per cell]
Pm (0.2500, 0.2549, 0.2500) [4 per cell]
Nd (0.0000, 0.0000, 0.5000) [2 per cell]
Nd (0.0000, 0.5000, 0.0000) [2 per cell]
Nd (0.2500, 0.2550, 0.7500) [4 per cell]

Most intense lines, 2θ from 10° to 80°, sorted by position:
2θ = 14.6°, I 1, hkl 1 0 1
2θ = 18.9°, I 1, hkl 1 1 1
2θ = 29.5°, I 100, hkl 2 2 0
2θ = 34.2°, I 51, hkl 4 0 0
2θ = 49.2°, I 37, hkl 4 2 2
2θ = 58.4°, I 29, hkl 2 2 4
2θ = 58.5°, I 15, hkl 6 2 0
2θ = 61.3°, I 13, hkl 4 0 4
2θ = 72.0°, I 4, hkl 0 4 4
2θ = 72.2°, I 2, hkl 8 0 0
2θ = 79.7°, I 6, hkl 2 0 6
2θ = 79.8°, I 12, hkl 6 2 4